1.
Simulated X-ray powder pattern
Compound: RuBr3
Radiation: Cu Kα X-rays
Structure: a PBE-relaxed structure

Structural model:
```
RuBr3
1.0
7.0608 0.0000 0.0000
-3.5304 6.1149 0.0000
0.0000 0.0000 5.9392
Ru Br
2 6
Direct
0.0000 0.0000 0.0000
0.0000 0.0000 0.5000
0.0000 0.2879 0.2500
0.0000 0.7121 0.7500
0.2879 0.0000 0.2500
0.2879 0.2879 0.7500
0.7121 0.0000 0.7500
0.7121 0.7121 0.2500
```

Principal peaks in the range 2θ = 10–80°, most intense first:
- 14.49 deg, I = 100
- 29.43 deg, I = 65
- 39.66 deg, I = 34
- 44.45 deg, I = 23
- 42.43 deg, I = 17
- 50.01 deg, I = 15
- 41.95 deg, I = 13
- 53.03 deg, I = 12
- 54.07 deg, I = 10
- 74.86 deg, I = 9

***

2.
Simulated X-ray powder pattern
Compound: RuBr3
Radiation: Cu Kα X-rays
Structure: a PBE-relaxed structure

Structural model:
```
RuBr3
1.0
5.9260 0.0000 0.0000
0.0000 12.4130 0.0000
0.0000 0.0000 7.1417
Ru Br
4 12
Direct
0.9997 0.2500 0.2460
0.0003 0.7500 0.7540
0.5003 0.2500 0.2460
0.4997 0.7500 0.7540
0.2500 0.1084 0.1034
0.2500 0.2500 0.5305
0.2500 0.3916 0.1034
0.2500 0.6081 0.6112
0.2500 0.7500 0.0388
0.2500 0.8919 0.6112
0.7500 0.1081 0.3888
0.7500 0.2500 0.9612
0.7500 0.3919 0.3888
0.7500 0.6084 0.8966
0.7500 0.7500 0.4695
0.7500 0.8916 0.8966
```

Principal peaks in the range 2θ = 10–80°, most intense first:
- 14.30 deg, I = 100
- 29.16 deg, I = 60
- 39.49 deg, I = 31
- 42.20 deg, I = 16
- 49.62 deg, I = 15
- 43.88 deg, I = 14
- 52.95 deg, I = 11
- 41.43 deg, I = 10
- 79.64 deg, I = 7
- 43.76 deg, I = 7

***

3.
Simulated X-ray powder pattern
Compound: Sc19Ru4Br28
Radiation: Cu Kα X-rays
Structure: a PBE-relaxed structure

Structural model:
```
Sc19Ru4Br28
1.0
7.8949 4.5581 6.5669
-7.8949 4.5581 6.5669
0.0000 -9.1162 6.5669
Sc Ru Br
19 4 28
Direct
0.0110 0.0110 0.0110
0.0123 0.2801 0.2801
0.0319 0.0319 0.4691
0.0323 0.2615 0.8216
0.0319 0.4691 0.0319
0.0323 0.8216 0.2615
0.2615 0.0323 0.8216
0.2615 0.8216 0.0323
0.2641 0.2641 0.4717
0.2641 0.4717 0.2641
0.2801 0.0123 0.2801
0.2801 0.2801 0.0123
0.4691 0.0319 0.0319
0.4717 0.2641 0.2641
0.5249 0.7671 0.7671
0.7671 0.5249 0.7671
0.7671 0.7671 0.5249
0.8216 0.0323 0.2615
0.8216 0.2615 0.0323
0.0460 0.0460 0.2439
0.0460 0.2439 0.0460
0.2439 0.0460 0.0460
0.2444 0.2444 0.2444
0.0142 0.5096 0.7830
0.0142 0.7830 0.5096
0.0195 0.2686 0.5394
0.0195 0.5394 0.2686
0.0205 0.0205 0.7528
0.0205 0.7528 0.0205
0.2569 0.5005 0.5005
0.2686 0.0195 0.5394
0.2686 0.5394 0.0195
0.2720 0.2720 0.7515
0.2720 0.7515 0.2720
0.2786 0.7837 0.7837
0.5005 0.2569 0.5005
0.5005 0.5005 0.2569
0.5096 0.0142 0.7830
0.5096 0.7830 0.0142
0.5304 0.5304 0.7780
0.5304 0.7780 0.5304
0.5394 0.0195 0.2686
0.5394 0.2686 0.0195
0.7515 0.2720 0.2720
0.7528 0.0205 0.0205
0.7711 0.7711 0.7711
0.7780 0.5304 0.5304
0.7830 0.0142 0.5096
0.7830 0.5096 0.0142
0.7837 0.2786 0.7837
0.7837 0.7837 0.2786
```

Principal peaks in the range 2θ = 10–80°, most intense first:
- 31.87 deg, I = 100
- 27.62 deg, I = 48
- 45.98 deg, I = 30
- 45.39 deg, I = 29
- 27.16 deg, I = 15
- 54.22 deg, I = 13
- 57.03 deg, I = 13
- 11.07 deg, I = 8
- 76.17 deg, I = 8
- 75.29 deg, I = 7

***

4.
Simulated X-ray powder pattern
Compound: SbSBr
Radiation: Cu Kα X-rays
Structure: a PBE-relaxed structure

Structural model:
```
SbSBr
1.0
8.7810 0.0000 0.0000
0.0000 10.2209 0.0000
0.0000 0.0000 4.0141
Sb S Br
4 4 4
Direct
0.1075 0.1303 0.0000
0.3925 0.6303 0.5000
0.6075 0.3697 0.0000
0.8925 0.8697 0.5000
0.1574 0.9579 0.4915
0.3426 0.4579 0.9915
0.6574 0.5421 0.4915
0.8426 0.0421 0.9915
0.0129 0.6876 0.9873
0.4871 0.1876 0.4873
0.5129 0.8124 0.9873
0.9871 0.3124 0.4873
```

Principal peaks in the range 2θ = 10–80°, most intense first:
- 30.10 deg, I = 100
- 13.29 deg, I = 31
- 48.07 deg, I = 21
- 34.53 deg, I = 19
- 20.23 deg, I = 19
- 20.10 deg, I = 19
- 46.96 deg, I = 16
- 22.03 deg, I = 15
- 35.34 deg, I = 15
- 45.18 deg, I = 14

***

5.
Simulated X-ray powder pattern
Compound: SbSBr
Radiation: Cu Kα X-rays
Structure: a PBE-relaxed structure

Structural model:
```
SbSBr
1.0
8.6775 0.0000 0.0000
0.0000 3.9946 0.0000
0.0000 0.0000 10.3856
Sb S Br
4 4 4
Direct
0.1047 0.2500 0.1315
0.3953 0.7500 0.6315
0.6047 0.2500 0.3685
0.8953 0.7500 0.8685
0.1607 0.7500 0.9626
0.3393 0.2500 0.4626
0.6607 0.7500 0.5374
0.8393 0.2500 0.0374
0.0251 0.2500 0.6910
0.4749 0.7500 0.1910
0.5251 0.2500 0.8090
0.9749 0.7500 0.3090
```

Principal peaks in the range 2θ = 10–80°, most intense first:
- 30.04 deg, I = 100
- 13.30 deg, I = 41
- 48.56 deg, I = 28
- 19.93 deg, I = 26
- 34.28 deg, I = 24
- 30.42 deg, I = 24
- 35.53 deg, I = 23
- 20.47 deg, I = 23
- 46.68 deg, I = 20
- 45.41 deg, I = 17

***

6.
Simulated X-ray powder pattern
Compound: SmSBr
Radiation: Cu Kα X-rays
Structure: a PBE-relaxed structure

Structural model:
```
SmSBr
1.0
6.9720 0.0000 0.0000
0.0000 7.0313 0.0000
-1.1395 0.0000 6.8261
Sm S Br
4 4 4
Direct
0.1798 0.0354 0.2900
0.1798 0.4646 0.7900
0.8202 0.5354 0.2100
0.8202 0.9646 0.7100
0.0531 0.7404 0.5076
0.0531 0.7596 0.0076
0.9469 0.2404 0.9924
0.9469 0.2596 0.4924
0.4155 0.1161 0.7114
0.4155 0.3839 0.2114
0.5845 0.6161 0.7886
0.5845 0.8839 0.2886
```

Principal peaks in the range 2θ = 10–80°, most intense first:
- 29.94 deg, I = 100
- 20.99 deg, I = 71
- 26.11 deg, I = 64
- 23.51 deg, I = 55
- 18.08 deg, I = 49
- 33.57 deg, I = 48
- 36.70 deg, I = 46
- 30.51 deg, I = 43
- 45.90 deg, I = 33
- 41.72 deg, I = 31

***

7.
Simulated X-ray powder pattern
Compound: Ta4S9Br8
Radiation: Cu Kα X-rays
Structure: a PBE-relaxed structure

Structural model:
```
Ta4S9Br8
1.0
-6.7178 6.7178 3.7924
6.7178 -6.7178 3.7924
6.7178 6.7178 -3.7924
Ta S Br
4 9 8
Direct
0.0000 0.1755 0.1755
0.0000 0.8245 0.8245
0.1755 0.0000 0.1755
0.8245 0.0000 0.8245
0.0960 0.0960 0.7406
0.0960 0.3554 0.0000
0.1853 0.1853 0.3769
0.1853 0.8084 0.0000
0.3554 0.0960 0.0000
0.3554 0.3554 0.2594
0.8084 0.1853 0.0000
0.8084 0.8084 0.6231
0.8988 0.8988 0.0000
0.1334 0.4793 0.3458
0.1334 0.7876 0.6542
0.4565 0.6819 0.7745
0.4793 0.1334 0.3458
0.6819 0.4565 0.7745
0.6819 0.9074 0.2255
0.7876 0.1334 0.6542
0.9074 0.6819 0.2255
```

Principal peaks in the range 2θ = 10–80°, most intense first:
- 13.41 deg, I = 100
- 18.68 deg, I = 39
- 35.44 deg, I = 27
- 43.24 deg, I = 20
- 26.65 deg, I = 18
- 29.84 deg, I = 17
- 49.50 deg, I = 15
- 40.28 deg, I = 14
- 42.63 deg, I = 14
- 23.46 deg, I = 11

***

8.
Simulated X-ray powder pattern
Compound: Ta3SBr7
Radiation: Cu Kα X-rays
Structure: a PBE-relaxed structure

Structural model:
```
Ta3SBr7
1.0
6.2045 -3.5820 0.0000
6.2045 3.5820 0.0000
-6.1225 0.0000 6.9641
Ta S Br
3 1 7
Direct
0.0000 0.0000 0.0000
0.0000 0.4020 0.0001
0.4020 0.0000 0.0001
0.0105 0.0105 0.7495
0.0363 0.5316 0.7955
0.4232 0.4232 0.2466
0.4231 0.9201 0.2463
0.5316 0.0363 0.7955
0.5317 0.5317 0.7952
0.8992 0.8992 0.1995
0.9201 0.4231 0.2463
```

Principal peaks in the range 2θ = 10–80°, most intense first:
- 12.71 deg, I = 100
- 31.50 deg, I = 48
- 38.76 deg, I = 28
- 31.71 deg, I = 26
- 15.64 deg, I = 24
- 50.99 deg, I = 19
- 49.16 deg, I = 17
- 39.00 deg, I = 13
- 39.12 deg, I = 12
- 38.92 deg, I = 11